Diffraction record for K4CeNp3Te8. The X-ray powder pattern is computed, not measured: it uses a cell relaxed with GGA-PBE and Cu Kα (weighted mean of Kα1 and Kα2).
Lines closer than 0.1° are merged.

Atomic structure:
```
data_K4CeNp3Te8
_chemical_formula_sum 'K8 Ce2 Np6 Te16'
_cell_length_a 15.9922
_cell_length_b 9.2022
_cell_length_c 9.7860
_cell_angle_alpha 90.00
_cell_angle_beta 123.02
_cell_angle_gamma 90.00
_symmetry_space_group_name_H-M 'C 1 2/m 1'
_symmetry_Int_Tables_number 12
_symmetry_space_group_name_Hall '-C 2y'
loop_
_atom_site_label
_atom_site_type_symbol
_atom_site_fract_x
_atom_site_fract_y
_atom_site_fract_z
K1 K 0.0000 0.0000 0.0000
K2 K 0.0000 0.5000 0.0000
K3 K 0.2500 0.2500 0.0000
Ce1 Ce 0.0000 0.0000 0.5000
Np1 Np 0.0000 0.5000 0.5000
Np2 Np 0.2500 0.2500 0.5000
Te1 Te 0.0131 0.2510 0.2882
Te2 Te 0.2366 0.5000 0.7095
Te3 Te 0.2383 0.0000 0.7102
```

Largest 10 diffraction maxima, in order of rising 2θ, 2θ from 15° to 90°:
h k l	2θ (°)	Rel. int.
4 0 -1	22.57	13
4 0 0	26.62	100
2 2 -3	33.98	21
2 2 2	36.88	36
6 2 -2	39.06	25
0 4 0	39.16	13
6 2 -3	40.63	10
4 0 -5	46.52	13
4 4 0	47.96	13
8 0 0	54.83	11

=====

Diffraction record for KCeO. The X-ray powder pattern is computed, not measured: it uses a cell relaxed with GGA-PBE and Cu Kα (weighted mean of Kα1 and Kα2).
Lines closer than 0.1° are merged.

Atomic structure:
```
data_KCeO
_chemical_formula_sum 'K4 Ce4 O4'
_cell_length_a 14.9269
_cell_length_b 3.4720
_cell_length_c 5.9955
_cell_angle_alpha 90.00
_cell_angle_beta 90.00
_cell_angle_gamma 90.00
_symmetry_space_group_name_H-M 'A m m 2'
_symmetry_Int_Tables_number 38
_symmetry_space_group_name_Hall 'A 2 -2'
loop_
_atom_site_label
_atom_site_type_symbol
_atom_site_fract_x
_atom_site_fract_y
_atom_site_fract_z
K1 K 0.1045 0.0000 0.0000
Ce1 Ce 0.3936 0.0000 0.5583
O1 O 0.0000 0.0000 0.6659
O2 O 0.5000 0.0000 0.8914
```

Largest 10 diffraction maxima, in order of rising 2θ, 2θ from 15° to 90°:
h k l	2θ (°)	Rel. int.
4 0 0	23.84	48
0 0 2	29.77	69
1 1 1	30.36	100
3 1 1	34.90	31
4 0 2	38.50	53
5 1 1	42.70	81
6 0 2	47.48	15
1 1 3	53.24	20
5 1 3	61.93	17
9 1 1	64.14	18

=====

Diffraction record for K4Ce3O8. The X-ray powder pattern is computed, not measured: it uses a cell relaxed with GGA-PBE and Cu Kα (weighted mean of Kα1 and Kα2).
Lines closer than 0.1° are merged.

Atomic structure:
```
data_K4Ce3O8
_chemical_formula_sum 'K12 Ce9 O24'
_cell_length_a 7.2186
_cell_length_b 7.2186
_cell_length_c 19.6761
_cell_angle_alpha 90.00
_cell_angle_beta 90.00
_cell_angle_gamma 120.00
_symmetry_space_group_name_H-M 'R -3 m'
_symmetry_Int_Tables_number 166
_symmetry_space_group_name_Hall '-R 3 2"'
loop_
_atom_site_label
_atom_site_type_symbol
_atom_site_fract_x
_atom_site_fract_y
_atom_site_fract_z
K1 K 0.0000 0.0000 0.0000
K2 K 0.0000 0.0000 0.1472
K3 K 0.0000 0.0000 0.5000
Ce1 Ce 0.0000 0.5000 0.0000
O1 O 0.0000 0.0000 0.2775
O2 O 0.0418 0.5209 0.2759
```

Largest 10 diffraction maxima, in order of rising 2θ, 2θ from 15° to 90°:
h k l	2θ (°)	Rel. int.
0 0 6	27.19	47
1 1 3	28.22	49
0 2 1	28.92	100
2 0 2	30.00	57
0 2 4	33.98	93
0 2 7	43.29	61
2 0 8	47.01	41
2 2 0	50.58	48
2 2 3	52.60	29
2 2 6	58.37	34

=====

Diffraction record for KCeO3. The X-ray powder pattern is computed, not measured: it uses a cell relaxed with GGA-PBE and Cu Kα (weighted mean of Kα1 and Kα2).
Lines closer than 0.1° are merged.

Atomic structure:
```
data_KCeO3
_chemical_formula_sum 'K2 Ce2 O6'
_cell_length_a 6.2592
_cell_length_b 6.2592
_cell_length_c 4.4405
_cell_angle_alpha 90.00
_cell_angle_beta 90.00
_cell_angle_gamma 90.00
_symmetry_space_group_name_H-M 'P 4/m b m'
_symmetry_Int_Tables_number 127
_symmetry_space_group_name_Hall '-P 4 2ab'
loop_
_atom_site_label
_atom_site_type_symbol
_atom_site_fract_x
_atom_site_fract_y
_atom_site_fract_z
K1 K 0.0000 0.5000 0.0000
Ce1 Ce 0.0000 0.0000 0.5000
O1 O 0.0000 0.0000 0.0000
O2 O 0.2339 0.2661 0.5000
```

Largest 10 diffraction maxima, in order of rising 2θ, 2θ from 15° to 90°:
h k l	2θ (°)	Rel. int.
0 0 1	20.04	59
2 0 0	28.49	100
0 0 2	40.64	12
2 2 0	40.78	24
1 1 2	45.77	18
3 1 1	50.45	41
2 2 2	58.93	15
3 1 2	62.93	11
4 2 0	66.83	12
4 2 2	81.29	14

=====

Diffraction record for K4Ce3PdO8. The X-ray powder pattern is computed, not measured: it uses a cell relaxed with GGA-PBE and Cu Kα (weighted mean of Kα1 and Kα2).
Lines closer than 0.1° are merged.

Atomic structure:
```
data_K4Ce3PdO8
_chemical_formula_sum 'K8 Ce6 Pd2 O16'
_cell_length_a 12.7272
_cell_length_b 6.9873
_cell_length_c 7.3750
_cell_angle_alpha 90.00
_cell_angle_beta 122.02
_cell_angle_gamma 90.00
_symmetry_space_group_name_H-M 'C 1 2/m 1'
_symmetry_Int_Tables_number 12
_symmetry_space_group_name_Hall '-C 2y'
loop_
_atom_site_label
_atom_site_type_symbol
_atom_site_fract_x
_atom_site_fract_y
_atom_site_fract_z
K1 K 0.0000 0.0000 0.0000
K2 K 0.0000 0.5000 0.0000
K3 K 0.2500 0.2500 0.0000
Ce1 Ce 0.0000 0.0000 0.5000
Ce2 Ce 0.2500 0.2500 0.5000
Pd1 Pd 0.0000 0.5000 0.5000
O1 O 0.0326 0.2368 0.3200
O2 O 0.2262 0.0000 0.6920
O3 O 0.2323 0.0000 0.2912
```

Largest 10 diffraction maxima, in order of rising 2θ, 2θ from 15° to 90°:
h k l	2θ (°)	Rel. int.
4 0 -1	28.24	17
0 0 2	28.55	48
2 2 -1	29.69	29
4 0 -2	30.17	39
2 2 0	30.48	73
4 0 0	33.21	59
2 2 -2	35.42	100
2 2 2	48.28	35
6 2 -2	50.38	34
4 4 -2	61.61	17

=====

Diffraction record for K2CeReO6. The X-ray powder pattern is computed, not measured: it uses a cell relaxed with GGA-PBE and Cu Kα (weighted mean of Kα1 and Kα2).
Lines closer than 0.1° are merged.

Atomic structure:
```
data_K2CeReO6
_chemical_formula_sum 'K2 Ce1 Re1 O6'
_cell_length_a 5.9242
_cell_length_b 5.9242
_cell_length_c 4.4379
_cell_angle_alpha 90.00
_cell_angle_beta 90.00
_cell_angle_gamma 90.00
_symmetry_space_group_name_H-M 'P 4 m m'
_symmetry_Int_Tables_number 99
_symmetry_space_group_name_Hall 'P 4 -2'
loop_
_atom_site_label
_atom_site_type_symbol
_atom_site_fract_x
_atom_site_fract_y
_atom_site_fract_z
K1 K 0.0000 0.5000 0.0000
Ce1 Ce 0.0000 0.0000 0.5312
Re1 Re 0.5000 0.5000 0.4517
O1 O 0.0000 0.0000 0.0325
O2 O 0.2782 0.2782 0.5401
O3 O 0.5000 0.5000 0.0557
```

Largest 10 diffraction maxima, in order of rising 2θ, 2θ from 15° to 90°:
h k l	2θ (°)	Rel. int.
0 0 1	20.01	33
1 1 0	21.21	64
1 1 1	29.32	100
2 0 0	30.17	49
0 0 2	40.66	15
2 2 0	43.19	31
3 1 0	48.60	14
2 0 2	51.46	18
3 1 1	53.06	37
2 2 2	60.81	16